Record 1
For P3C, a crystal structure in Alexandria, relaxed with PBE gives the theoretical powder diffraction line list in this record (Cu Kα).
Neutral-atom scattering factors, no anomalous dispersion.

Structural model:
```
P3C
1.0
2.8781 0.0000 0.0000
-1.4170 3.9417 0.0000
-0.2495 -1.9853 5.0351
P C
3 1
Direct
0.0000 0.0000 0.0000
0.1107 0.2645 0.7014
0.3017 0.5529 0.2999
0.3583 0.7126 0.9993
```

Most intense lines, 2θ = 10–90°, sorted by position:
2θ = 17.61°, I 43
2θ = 33.34°, I 76
2θ = 33.62°, I 59
2θ = 35.06°, I 87
2θ = 35.17°, I 100
2θ = 46.05°, I 23

---

Record 2
For P6C7, a crystal structure in Alexandria, relaxed with PBE gives the theoretical powder diffraction line list in this record (Cu Kα).
Neutral-atom scattering factors, no anomalous dispersion.

Structural model:
```
P6C7
1.0
2.1365 1.2335 10.9835
-2.1365 1.2335 10.9835
0.0000 -2.4670 10.9835
P C
6 7
Direct
0.0331 0.0331 0.0331
0.2307 0.2307 0.2307
0.3002 0.3002 0.3002
0.6998 0.6998 0.6998
0.7693 0.7693 0.7693
0.9669 0.9669 0.9669
0.2237 0.5749 0.5749
0.4251 0.4251 0.7763
0.4251 0.7763 0.4251
0.5000 0.5000 0.5000
0.5749 0.2237 0.5749
0.5749 0.5749 0.2237
0.7763 0.4251 0.4251
```

Most intense lines, 2θ = 10–90°, sorted by position:
2θ = 26.40°, I 100
2θ = 32.60°, I 20
2θ = 38.67°, I 13
2θ = 42.30°, I 39
2θ = 43.13°, I 10
2θ = 60.44°, I 26